[1]
Starting from the GGA-PBE geometry in OQMD, the PXRD pattern of Ag2Mo was simulated for a wavelength of 1.5418 Å.

Top 6 peaks for 2θ from 15° to 90°, low angle first:
2θ (°)	d [Å]	I (rel.)
37.02	2.428	48
38.34	2.347	65
40.36	2.235	100
40.85	2.209	18
41.25	2.188	95
54.36	1.688	30

Atomic structure:
```
Ag2Mo
1.0
7.753 0.000 0.000
0.000 4.857 0.000
-1.237 0.000 5.319
Ag Mo
8 4
direct
0.088 0.191 0.212 Ag
0.088 0.309 0.712 Ag
0.243 0.698 0.125 Ag
0.243 0.802 0.625 Ag
0.757 0.198 0.375 Ag
0.757 0.302 0.875 Ag
0.912 0.691 0.288 Ag
0.912 0.809 0.788 Ag
0.427 0.218 0.043 Mo
0.427 0.282 0.543 Mo
0.573 0.718 0.457 Mo
0.573 0.782 0.957 Mo
```

***

[2]
Starting from the GGA-PBE geometry in OQMD, the PXRD pattern of Cs3Zr6CBr15 was simulated for a wavelength of 1.5418 Å.

Top 6 peaks for 2θ from 15° to 90°, low angle first:
2θ (°)	d [Å]	I (rel.)
30.63	2.919	100
32.86	2.726	19
34.85	2.574	50
40.12	2.248	24
47.39	1.918	38
52.73	1.736	28

Atomic structure:
```
Cs3Zr6CBr15
1.0
6.646 3.837 12.214
-6.646 3.837 12.214
0.000 -7.674 12.214
Cs Zr C Br
6 12 2 30
direct
0.000 0.000 0.500 Cs
0.000 0.500 0.000 Cs
0.000 0.500 0.500 Cs
0.500 0.000 0.000 Cs
0.500 0.000 0.500 Cs
0.500 0.500 0.000 Cs
0.044 0.172 0.893 Zr
0.107 0.956 0.828 Zr
0.172 0.893 0.044 Zr
0.328 0.456 0.607 Zr
0.393 0.672 0.544 Zr
0.456 0.607 0.328 Zr
0.544 0.393 0.672 Zr
0.607 0.328 0.456 Zr
0.672 0.544 0.393 Zr
0.828 0.107 0.956 Zr
0.893 0.044 0.172 Zr
0.956 0.828 0.107 Zr
0.000 0.000 0.000 C
0.500 0.500 0.500 C
0.075 0.924 0.254 Br
0.076 0.746 0.925 Br
0.096 0.404 0.750 Br
0.156 0.666 0.174 Br
0.166 0.656 0.674 Br
0.174 0.156 0.666 Br
0.246 0.576 0.425 Br
0.250 0.904 0.596 Br
0.254 0.075 0.924 Br
0.326 0.834 0.344 Br
0.334 0.826 0.844 Br
0.344 0.326 0.834 Br
0.404 0.750 0.096 Br
0.424 0.575 0.754 Br
0.425 0.246 0.576 Br
0.575 0.754 0.424 Br
0.576 0.425 0.246 Br
0.596 0.250 0.904 Br
0.656 0.674 0.166 Br
0.666 0.174 0.156 Br
0.674 0.166 0.656 Br
0.746 0.925 0.076 Br
0.750 0.096 0.404 Br
0.754 0.424 0.575 Br
0.826 0.844 0.334 Br
0.834 0.344 0.326 Br
0.844 0.334 0.826 Br
0.904 0.596 0.250 Br
0.924 0.254 0.075 Br
0.925 0.076 0.746 Br
```

***

[3]
Starting from the GGA-PBE geometry in OQMD, the PXRD pattern of NdBe14 was simulated for a wavelength of 1.5418 Å.

Top 6 peaks for 2θ from 15° to 90°, low angle first:
2θ (°)	d [Å]	I (rel.)
16.71	5.307	100
21.11	4.208	49
26.06	3.419	36
34.56	2.596	44
41.03	2.200	31
43.16	2.096	23

Atomic structure:
```
NdBe14
1.0
3.419 1.974 3.988
-3.419 1.974 3.988
0.000 -3.948 3.988
Nd Be
1 14
direct
0.000 0.000 0.000 Nd
0.160 0.500 0.840 Be
0.160 0.840 0.500 Be
0.214 0.214 0.214 Be
0.240 0.240 0.562 Be
0.240 0.562 0.240 Be
0.438 0.760 0.760 Be
0.500 0.160 0.840 Be
0.500 0.840 0.160 Be
0.562 0.240 0.240 Be
0.760 0.438 0.760 Be
0.760 0.760 0.438 Be
0.786 0.786 0.786 Be
0.840 0.160 0.500 Be
0.840 0.500 0.160 Be
```

***

[4]
Starting from the GGA-PBE geometry in OQMD, the PXRD pattern of Cs2Tm3Se4 was simulated for a wavelength of 1.5418 Å.

Top 6 peaks for 2θ from 15° to 90°, low angle first:
2θ (°)	d [Å]	I (rel.)
26.03	3.423	100
27.80	3.209	31
29.37	3.041	61
30.86	2.897	40
39.77	2.266	50
44.24	2.048	36

Atomic structure:
```
Cs2Tm3Se4
1.0
-3.300 6.237 7.833
3.300 -6.237 7.833
3.300 6.237 -7.833
Cs Tm Se
4 6 8
direct
0.121 0.242 0.363 Cs
0.379 0.742 0.121 Cs
0.621 0.258 0.879 Cs
0.879 0.758 0.637 Cs
0.030 0.250 0.780 Tm
0.250 0.750 0.500 Tm
0.470 0.250 0.220 Tm
0.530 0.750 0.780 Tm
0.750 0.250 0.500 Tm
0.970 0.750 0.220 Tm
0.010 0.428 0.153 Se
0.225 0.072 0.583 Se
0.275 0.857 0.847 Se
0.490 0.643 0.417 Se
0.510 0.357 0.583 Se
0.725 0.143 0.153 Se
0.775 0.928 0.417 Se
0.990 0.572 0.847 Se
```

***

[5]
Starting from the GGA-PBE geometry in OQMD, the PXRD pattern of PmSm2As3 was simulated for a wavelength of 1.5418 Å.

Top 6 peaks for 2θ from 15° to 90°, low angle first:
2θ (°)	d [Å]	I (rel.)
25.87	3.444	19
29.96	2.983	100
42.88	2.109	75
53.19	1.722	27
70.61	1.334	34
78.56	1.218	25

Atomic structure:
```
PmSm2As3
1.0
4.218 0.000 0.000
-2.109 3.653 0.000
0.000 0.000 10.334
Pm Sm As
1 2 3
direct
0.000 0.000 0.000 Pm
0.333 0.667 0.334 Sm
0.667 0.333 0.666 Sm
0.000 0.000 0.500 As
0.333 0.667 0.832 As
0.667 0.333 0.168 As
```

***

[6]
Starting from the GGA-PBE geometry in OQMD, the PXRD pattern of NdBi2 was simulated for a wavelength of 1.5418 Å.

Top 6 peaks for 2θ from 15° to 90°, low angle first:
2θ (°)	d [Å]	I (rel.)
29.87	2.991	100
30.25	2.955	42
34.92	2.569	22
38.71	2.326	36
46.95	1.935	30
56.20	1.637	21

Atomic structure:
```
NdBi2
1.0
7.356 0.000 0.000
0.000 7.356 0.000
0.000 0.000 7.180
Nd Bi
4 8
direct
0.000 0.000 0.250 Nd
0.000 0.000 0.750 Nd
0.500 0.500 0.250 Nd
0.500 0.500 0.750 Nd
0.147 0.353 0.000 Bi
0.147 0.647 0.500 Bi
0.353 0.147 0.500 Bi
0.353 0.853 0.000 Bi
0.647 0.147 0.000 Bi
0.647 0.853 0.500 Bi
0.853 0.353 0.500 Bi
0.853 0.647 0.000 Bi
```